The following is a simulated XRD peak list of Li5V5Ni2O12. It was derived from a GGA+U-relaxed structure, using copper Kα.

```
Li5V5Ni2O12
1.0
2.5878 -4.4684 0.0000
2.5878 4.4684 0.0000
-1.6665 0.0000 9.7511
Li V Ni O
5 5 2 12
Direct
0.0000 0.0000 0.0000
0.2411 0.2542 0.7633
0.3947 0.0683 0.2353
0.7458 0.7589 0.2367
0.9317 0.6053 0.7647
0.0796 0.4053 0.2406
0.1687 0.8313 0.5000
0.5074 0.4926 0.5000
0.5947 0.9204 0.7594
0.6559 0.3441 0.0000
0.3261 0.6739 0.0000
0.8384 0.1616 0.5000
0.0272 0.6899 0.1227
0.1379 0.1312 0.3814
0.2333 0.5559 0.6206
0.3101 0.9728 0.8773
0.3669 0.3859 0.1247
0.4441 0.7667 0.3794
0.5345 0.1874 0.6173
0.6141 0.6331 0.8753
0.7115 0.0718 0.1267
0.8126 0.4655 0.3827
0.8688 0.8621 0.6186
0.9282 0.2885 0.8733
```

Peak list (10 most intense, 2θ from 10° to 90°, in order of rising 2θ)
18.20 deg, I 42.9; 19.87 deg, I 23.7; 23.23 deg, I 37.7; 31.67 deg, I 15.3; 36.89 deg, I 39.6; 42.68 deg, I 51.0; 42.94 deg, I 100.0; 62.15 deg, I 54.6; 62.35 deg, I 27.0; 78.49 deg, I 17.9